Record 1
For Li3MnPCO7, a structure optimized by DFT (PBE+U) gives the theoretical powder diffraction line list in this record (Cu Ka).
No peak broadening, texture or thermal motion is included.

Most intense lines, 2θ from 10° to 90°, by intensity:
| h k l | two_theta | Rel. int. |
| --- | --- | --- |
| 0 0 1 | 10.1 | 100 |
| 0 2 0 | 26.4 | 64 |
| 1 0 2 | 27.7 | 21 |
| 1 0 1 | 20.8 | 20 |
| 0 1 -1 | 15.8 | 18 |
| 0 0 4 | 41.3 | 16 |
| -1 1 1 | 23.5 | 13 |
| 2 0 0 | 35.6 | 12 |

Structural model:
Cell: 5.077 6.802 8.793 Å, 95.28 92.39 95.29°
Space group P-1 (No. 2)
One atom of each set of equivalent atoms:
Li (0.039, 0.215, 0.252) (multiplicity 2)
Li (0.262, 0.549, 0.199) (multiplicity 2)
Li (0.365, 0.910, 0.234) (multiplicity 2)
Mn (0.182, 0.267, 0.631) (multiplicity 2)
P (0.346, 0.760, 0.581) (multiplicity 2)
C (0.218, 0.279, 0.940) (multiplicity 2)
O (0.011, 0.746, 0.136) (multiplicity 2)
O (0.203, 0.587, 0.657) (multiplicity 2)
O (0.239, 0.285, 0.086) (multiplicity 2)
O (0.253, 0.748, 0.408) (multiplicity 2)
O (0.262, 0.953, 0.669) (multiplicity 2)
O (0.346, 0.236, 0.408) (multiplicity 2)
O (0.427, 0.296, 0.858) (multiplicity 2)

---

Record 2
For Li3MnPCO7, a structure optimized by DFT (PBE+U) gives the theoretical powder diffraction line list in this record (Cu Ka).
No peak broadening, texture or thermal motion is included.

Most intense lines, 2θ from 10° to 90°, by intensity:
| h k l | two_theta | Rel. int. |
| --- | --- | --- |
| 2 0 0 | 26.6 | 100 |
| 0 1 1 | 19.9 | 99 |
| 0 1 0 | 10.6 | 57 |
| 0 2 1 | 27.3 | 49 |
| 0 0 2 | 34.0 | 31 |
| 1 1 1 | 24.0 | 28 |
| 1 0 1 | 21.4 | 26 |
| 4 0 0 | 54.7 | 23 |

Structural model:
Cell: 6.711 8.330 5.281 Å, 90.00 90.00 90.00°
Space group Pmn2_1 (No. 31)
One atom of each set of equivalent atoms:
Li (0.000, 0.080, 0.000) (multiplicity 2)
Li (0.225, 0.283, 0.434) (multiplicity 4)
Mn (0.000, 0.674, 0.510) (multiplicity 2)
P (0.000, 0.409, 0.066) (multiplicity 2)
C (0.000, 0.990, 0.525) (multiplicity 2)
O (0.000, 0.144, 0.530) (multiplicity 2)
O (0.000, 0.447, 0.356) (multiplicity 2)
O (0.000, 0.571, 0.918) (multiplicity 2)
O (0.000, 0.908, 0.735) (multiplicity 2)
O (0.000, 0.915, 0.309) (multiplicity 2)
O (0.184, 0.300, 0.015) (multiplicity 4)

---

Record 3
For MnTe6O13, a structure optimized by DFT (PBE+U) gives the theoretical powder diffraction line list in this record (Cu Ka).
No peak broadening, texture or thermal motion is included.

Most intense lines, 2θ from 10° to 90°, by intensity:
| h k l | two_theta | Rel. int. |
| --- | --- | --- |
| 3 -2 2 | 27.7 | 100 |
| 2 1 4 | 31.9 | 50 |
| 0 0 6 | 27.2 | 38 |
| 1 4 0 | 46.1 | 24 |
| 3 -2 8 | 45.5 | 24 |
| 1 4 6 | 54.3 | 23 |
| 2 0 2 | 21.7 | 17 |
| 1 0 4 | 20.6 | 14 |

Structural model:
Cell: 10.4257 10.4257 19.6784 Å, 90.00 90.00 120.00°
Space group R-3 (No. 148, hexagonal axes)
One atom of each set of equivalent atoms:
Mn (0.0000, 0.0000, 0.2441) (multiplicity 6)
Te (0.0589, 0.2295, 0.9080) (multiplicity 18)
Te (0.0849, 0.2372, 0.4035) (multiplicity 18)
O (0.0000, 0.0000, 0.4109) (multiplicity 6)
O (0.0003, 0.2523, 0.5532) (multiplicity 18)
O (0.0485, 0.1958, 0.8134) (multiplicity 18)
O (0.0531, 0.1826, 0.0702) (multiplicity 18)
O (0.0880, 0.8817, 0.3078) (multiplicity 18)

---

Record 4
For MgAs2WO7, a structure optimized by DFT (PBE+U) gives the theoretical powder diffraction line list in this record (Cu Ka).
No peak broadening, texture or thermal motion is included.

Most intense lines, 2θ from 10° to 90°, by intensity:
| h k l | two_theta | Rel. int. |
| --- | --- | --- |
| 0 2 1 | 19.8 | 100 |
| 0 0 2 | 18.8 | 50 |
| 2 1 -2 | 26.7 | 49 |
| 1 1 1 | 21.9 | 43 |
| 1 1 -3 | 26.5 | 37 |
| 1 3 0 | 29.7 | 35 |
| 1 2 2 | 33.4 | 34 |
| 1 3 -2 | 31.6 | 31 |

Structural model:
Cell: 7.239 10.221 10.678 Å, 90.00 118.00 90.00°
Space group P2_1/c (No. 14)
One atom of each set of equivalent atoms:
Mg (0.159, 0.086, 0.121) (multiplicity 4)
As (0.079, 0.728, 0.706) (multiplicity 4)
As (0.476, 0.168, 0.495) (multiplicity 4)
W (0.342, 0.102, 0.756) (multiplicity 4)
O (0.004, 0.086, 0.904) (multiplicity 4)
O (0.131, 0.507, 0.200) (multiplicity 4)
O (0.133, 0.242, 0.240) (multiplicity 4)
O (0.257, 0.646, 0.877) (multiplicity 4)
O (0.346, 0.208, 0.607) (multiplicity 4)
O (0.447, 0.009, 0.222) (multiplicity 4)
O (0.486, 0.159, 0.952) (multiplicity 4)

---

Record 5
For Li8CoO4F2, a structure optimized by DFT (PBE+U) gives the theoretical powder diffraction line list in this record (Cu Ka).
No peak broadening, texture or thermal motion is included.

Most intense lines, 2θ from 10° to 90°, by intensity:
| h k l | two_theta | Rel. int. |
| --- | --- | --- |
| 0 0 4 | 33.0 | 100 |
| 1 1 2 | 24.5 | 95 |
| 1 1 0 | 18.1 | 73 |
| 2 0 2 | 24.6 | 49 |
| 0 0 2 | 16.3 | 40 |
| 3 1 0 | 31.9 | 39 |
| 3 3 0 | 56.4 | 35 |
| 2 0 0 | 18.3 | 34 |

Structural model:
Cell: 9.693 5.673 10.847 Å, 90.00 90.00 90.00°
Space group Cmc2_1 (No. 36)
One atom of each set of equivalent atoms:
Li (0.000, 0.098, 0.000) (multiplicity 4)
Li (0.000, 0.188, 0.645) (multiplicity 4)
Li (0.152, 0.345, 0.136) (multiplicity 8)
Li (0.162, 0.008, 0.775) (multiplicity 8)
Li (0.186, 0.308, 0.509) (multiplicity 8)
Co (0.000, 0.472, 0.876) (multiplicity 4)
O (0.000, 0.163, 0.823) (multiplicity 4)
O (0.000, 0.486, 0.553) (multiplicity 4)
O (0.169, 0.003, 0.091) (multiplicity 8)
F (0.168, 0.324, 0.322) (multiplicity 8)

---

> Number 4 is which compound?

MgAs2WO7